Structure and calculated powder diffractogram of NdInHgBi (the PBE geometry in Alexandria; Cu Kα (λ = 1.5418 Å)).
No peak broadening, texture or thermal motion is included.

Cell and atoms:
a b c (Å): 4.6299 4.7351 5.0499
angles (deg): 90.00 90.00 90.00
Space group Pmmm (No. 47)
Inequivalent atoms, fractional coordinates:
Nd 0.0000 0.0000 0.0000 (multiplicity 1)
In 0.0000 0.5000 0.5000 (multiplicity 1)
Hg 0.5000 0.0000 0.5000 (multiplicity 1)
Bi 0.5000 0.5000 0.0000 (multiplicity 1)

Principal peaks in the range 10 to 90 degrees two-theta, in order of rising 2θ:
| 2theta | I_rel |
| --- | --- |
| 32.34 | 100 |
| 35.55 | 19 |
| 38.01 | 16 |
| 38.90 | 15 |
| 53.02 | 13 |
| 53.72 | 12 |
| 61.83 | 16 |
| 65.11 | 14 |
| 66.34 | 13 |
| 67.68 | 12 |